# 1
LaTaOs: computed PXRD pattern (Cu Kα, 1.54184 Å), based on the GGA-PBE geometry in Alexandria.

Structure:
abc: 4.5130 4.5130 6.9914
angles: 90.00 90.00 90.00
Positions (direct):
La 0.2500 0.2500 0.1411
La 0.7500 0.7500 0.8589
Ta 0.2500 0.7500 0.5000
Ta 0.7500 0.2500 0.5000
Os 0.2500 0.2500 0.6887
Os 0.7500 0.7500 0.3113

Principal peaks in the range 2θ from 10° to 90°, in order of falling intensity:
2.357 Å, 2θ = 38.2°, intensity 100; 2.257 Å, 2θ = 40.0°, intensity 96; 2.764 Å, 2θ = 32.4°, intensity 94; 6.991 Å, 2θ = 12.7°, intensity 79; 2.903 Å, 2θ = 30.8°, intensity 58; 1.748 Å, 2θ = 52.3°, intensity 49; 1.321 Å, 2θ = 71.4°, intensity 49; 1.596 Å, 2θ = 57.8°, intensity 33; 1.882 Å, 2θ = 48.4°, intensity 23; 3.191 Å, 2θ = 28.0°, intensity 21

---

# 2
PmAl4Ni4: computed PXRD pattern (Cu Kα, 1.54184 Å), based on the GGA-PBE geometry in Alexandria.

Structure:
abc: 6.2169 6.2169 6.2169
angles: 97.20 97.20 138.54
Positions (direct):
Pm 0.0000 0.0000 0.0000
Al 0.1188 0.6041 0.7229
Al 0.3959 0.1188 0.5146
Al 0.6041 0.8812 0.4854
Al 0.8812 0.3959 0.2771
Ni 0.1873 0.3129 0.5002
Ni 0.3129 0.8127 0.1257
Ni 0.6871 0.1873 0.8743
Ni 0.8127 0.6871 0.4998

Principal peaks in the range 2θ from 10° to 90°, in order of falling intensity:
2.822 Å, 2θ = 31.7°, intensity 100; 2.600 Å, 2θ = 34.5°, intensity 92; 1.817 Å, 2θ = 50.2°, intensity 73; 3.880 Å, 2θ = 22.9°, intensity 68; 2.907 Å, 2θ = 30.8°, intensity 61; 2.025 Å, 2θ = 44.8°, intensity 50; 1.680 Å, 2θ = 54.6°, intensity 48; 2.201 Å, 2θ = 41.0°, intensity 47; 1.755 Å, 2θ = 52.1°, intensity 27; 1.410 Å, 2θ = 66.3°, intensity 23

---

# 3
Al2GaSb2: computed PXRD pattern (Cu Kα, 1.54184 Å), based on the GGA-PBE geometry in Alexandria.

Structure:
abc: 7.7608 7.7608 3.7584
angles: 90.00 90.00 90.00
Positions (direct):
Al 0.1305 0.3695 0.0000
Al 0.3695 0.8695 0.0000
Al 0.6305 0.1305 0.0000
Al 0.8695 0.6305 0.0000
Ga 0.0000 0.0000 0.0000
Ga 0.5000 0.5000 0.0000
Sb 0.1656 0.6656 0.5000
Sb 0.3344 0.1656 0.5000
Sb 0.6656 0.8344 0.5000
Sb 0.8344 0.3344 0.5000

Principal peaks in the range 2θ from 10° to 90°, in order of falling intensity:
2.550 Å, 2θ = 35.2°, intensity 100; 3.471 Å, 2θ = 25.7°, intensity 47; 2.454 Å, 2θ = 36.6°, intensity 46; 2.700 Å, 2θ = 33.2°, intensity 42; 1.881 Å, 2θ = 48.4°, intensity 26; 1.645 Å, 2θ = 55.9°, intensity 21; 3.101 Å, 2θ = 28.8°, intensity 21; 1.683 Å, 2θ = 54.5°, intensity 19; 1.492 Å, 2θ = 62.2°, intensity 19; 1.346 Å, 2θ = 69.9°, intensity 14

---

# 4
Ac4Ge5Ir3: computed PXRD pattern (Cu Kα, 1.54184 Å), based on the GGA-PBE geometry in Alexandria.

Structure:
abc: 7.7387 7.7387 9.8055
angles: 111.17 111.17 35.74
Positions (direct):
Ac 0.0450 0.0450 0.3150
Ac 0.2401 0.2401 0.8247
Ac 0.7599 0.7599 0.1753
Ac 0.9550 0.9550 0.6850
Ge 0.2867 0.2867 0.5165
Ge 0.4115 0.4115 0.4003
Ge 0.5000 0.5000 0.0000
Ge 0.5885 0.5885 0.5997
Ge 0.7133 0.7133 0.4835
Ir 0.0000 0.0000 0.0000
Ir 0.3941 0.3941 0.1415
Ir 0.6059 0.6059 0.8585

Principal peaks in the range 2θ from 10° to 90°, in order of falling intensity:
3.400 Å, 2θ = 26.2°, intensity 100; 2.374 Å, 2θ = 37.9°, intensity 78; 2.847 Å, 2θ = 31.4°, intensity 77; 2.452 Å, 2θ = 36.6°, intensity 45; 2.442 Å, 2θ = 36.8°, intensity 44; 2.666 Å, 2θ = 33.6°, intensity 43; 3.257 Å, 2θ = 27.4°, intensity 42; 3.409 Å, 2θ = 26.1°, intensity 39; 1.703 Å, 2θ = 53.8°, intensity 37; 3.283 Å, 2θ = 27.2°, intensity 31

---

# 5
Ce5In2Hg: computed PXRD pattern (Cu Kα, 1.54184 Å), based on the GGA-PBE geometry in Alexandria.

Structure:
abc: 6.8592 6.8592 9.2906
angles: 90.00 90.00 90.00
Positions (direct):
Ce 0.0000 0.0000 0.0000
Ce 0.2496 0.2496 0.2508
Ce 0.2504 0.2504 0.7508
Ce 0.2496 0.7504 0.2508
Ce 0.2504 0.7496 0.7508
Ce 0.5000 0.5000 0.5000
Ce 0.7504 0.2496 0.2508
Ce 0.7496 0.2504 0.7508
Ce 0.7504 0.7504 0.2508
Ce 0.7496 0.7496 0.7508
In 0.0000 0.5000 0.0008
In 0.0000 0.5000 0.5008
In 0.5000 0.0000 0.0008
In 0.5000 0.0000 0.5008
Hg 0.0000 0.0000 0.5013
Hg 0.5000 0.5000 0.0013

Principal peaks in the range 2θ from 10° to 90°, in order of falling intensity:
2.759 Å, 2θ = 32.4°, intensity 100; 2.425 Å, 2θ = 37.1°, intensity 35; 1.456 Å, 2θ = 63.9°, intensity 28; 1.677 Å, 2θ = 54.7°, intensity 23; 2.323 Å, 2θ = 38.8°, intensity 15; 1.411 Å, 2θ = 66.2°, intensity 13; 1.715 Å, 2θ = 53.4°, intensity 12; 1.380 Å, 2θ = 67.9°, intensity 12; 1.110 Å, 2θ = 88.0°, intensity 6; 1.213 Å, 2θ = 79.0°, intensity 4

---

# 6
Pm2Nd3Y6: computed PXRD pattern (Cu Kα, 1.54184 Å), based on the GGA-PBE geometry in Alexandria.

Structure:
abc: 32.3251 32.3251 32.3251
angles: 6.42 6.42 6.42
Positions (direct):
Pm 0.0453 0.0453 0.0453
Pm 0.9547 0.9547 0.9547
Nd 0.2274 0.2274 0.2274
Nd 0.5000 0.5000 0.5000
Nd 0.7726 0.7726 0.7726
Y 0.1363 0.1363 0.1363
Y 0.3184 0.3184 0.3184
Y 0.4089 0.4089 0.4089
Y 0.5911 0.5911 0.5911
Y 0.6816 0.6816 0.6816
Y 0.8637 0.8637 0.8637

Principal peaks in the range 2θ from 10° to 90°, in order of falling intensity:
2.953 Å, 2θ = 30.3°, intensity 100; 2.553 Å, 2θ = 35.1°, intensity 67; 2.932 Å, 2θ = 30.5°, intensity 33; 1.540 Å, 2θ = 60.1°, intensity 28; 1.810 Å, 2θ = 50.4°, intensity 24; 1.801 Å, 2θ = 50.7°, intensity 23; 1.543 Å, 2θ = 59.9°, intensity 14; 1.534 Å, 2θ = 60.3°, intensity 14; 1.477 Å, 2θ = 62.9°, intensity 12; 1.174 Å, 2θ = 82.1°, intensity 11

---

# 7
Tb5Pm2Tl: computed PXRD pattern (Cu Kα, 1.54184 Å), based on the GGA-PBE geometry in Alexandria.

Structure:
abc: 6.9457 20.1420 3.5820
angles: 90.00 90.00 90.00
Positions (direct):
Tb 0.0000 0.0000 0.0000
Tb 0.2441 0.3807 0.5000
Tb 0.2441 0.6193 0.5000
Tb 0.2559 0.1193 0.5000
Tb 0.2559 0.8807 0.5000
Tb 0.5000 0.5000 0.0000
Tb 0.7441 0.1193 0.5000
Tb 0.7441 0.8807 0.5000
Tb 0.7559 0.3807 0.5000
Tb 0.7559 0.6193 0.5000
Pm 0.0000 0.2429 0.0000
Pm 0.0000 0.7571 0.0000
Pm 0.5000 0.2571 0.0000
Pm 0.5000 0.7429 0.0000
Tl 0.0000 0.5000 0.0000
Tl 0.5000 0.0000 0.0000

Principal peaks in the range 2θ from 10° to 90°, in order of falling intensity:
2.919 Å, 2θ = 30.6°, intensity 100; 2.859 Å, 2θ = 31.3°, intensity 94; 2.493 Å, 2θ = 36.0°, intensity 66; 1.772 Å, 2θ = 51.6°, intensity 45; 1.518 Å, 2θ = 61.0°, intensity 41; 2.518 Å, 2θ = 35.7°, intensity 32; 1.492 Å, 2θ = 62.2°, intensity 26; 1.791 Å, 2θ = 51.0°, intensity 12; 1.511 Å, 2θ = 61.3°, intensity 12; 1.459 Å, 2θ = 63.8°, intensity 12

---

# 8
HoCd8Hg6: computed PXRD pattern (Cu Kα, 1.54184 Å), based on the GGA-PBE geometry in Alexandria.

Structure:
abc: 7.8938 7.8938 7.8938
angles: 63.35 63.35 63.35
Positions (direct):
Ho 0.0000 0.0000 0.0000
Cd 0.1102 0.7274 0.7274
Cd 0.2726 0.2726 0.8898
Cd 0.2726 0.8898 0.2726
Cd 0.4210 0.4210 0.4210
Cd 0.5790 0.5790 0.5790
Cd 0.7274 0.1102 0.7274
Cd 0.7274 0.7274 0.1102
Cd 0.8898 0.2726 0.2726
Hg 0.1623 0.1623 0.5429
Hg 0.1623 0.5429 0.1623
Hg 0.4571 0.8377 0.8377
Hg 0.5429 0.1623 0.1623
Hg 0.8377 0.4571 0.8377
Hg 0.8377 0.8377 0.4571

Principal peaks in the range 2θ from 10° to 90°, in order of falling intensity:
2.608 Å, 2θ = 34.4°, intensity 100; 2.599 Å, 2θ = 34.5°, intensity 71; 2.519 Å, 2θ = 35.6°, intensity 44; 2.236 Å, 2θ = 40.3°, intensity 34; 1.405 Å, 2θ = 66.6°, intensity 33; 2.855 Å, 2θ = 31.3°, intensity 29; 1.575 Å, 2θ = 58.6°, intensity 23; 2.351 Å, 2θ = 38.3°, intensity 21; 2.073 Å, 2θ = 43.7°, intensity 20; 3.526 Å, 2θ = 25.3°, intensity 17

---

# 9
Ho6ErSc6: computed PXRD pattern (Cu Kα, 1.54184 Å), based on the GGA-PBE geometry in Alexandria.

Structure:
abc: 6.2730 6.2730 10.6015
angles: 90.00 90.00 115.84
Positions (direct):
Ho 0.0000 0.0000 0.1673
Ho 0.0000 0.0000 0.8327
Ho 0.2828 0.7172 0.0000
Ho 0.3517 0.6483 0.5000
Ho 0.6483 0.3517 0.5000
Ho 0.7172 0.2828 0.0000
Er 0.0000 0.0000 0.5000
Sc 0.0000 0.5000 0.2739
Sc 0.0000 0.5000 0.7261
Sc 0.5000 0.0000 0.2739
Sc 0.5000 0.0000 0.7261
Sc 0.5000 0.5000 0.2117
Sc 0.5000 0.5000 0.7883

Principal peaks in the range 2θ from 10° to 90°, in order of falling intensity:
3.129 Å, 2θ = 28.5°, intensity 100; 3.332 Å, 2θ = 26.8°, intensity 81; 2.943 Å, 2θ = 30.4°, intensity 74; 2.821 Å, 2θ = 31.7°, intensity 66; 2.492 Å, 2θ = 36.0°, intensity 56; 2.694 Å, 2θ = 33.3°, intensity 56; 2.653 Å, 2θ = 33.8°, intensity 50; 2.206 Å, 2θ = 40.9°, intensity 44; 2.342 Å, 2θ = 38.4°, intensity 34; 5.301 Å, 2θ = 16.7°, intensity 33

---

# 10
Sm4Tm4MgO12: computed PXRD pattern (Cu Kα, 1.54184 Å), based on the GGA-PBE geometry in Alexandria.

Structure:
abc: 5.8747 6.0792 9.1823
angles: 83.81 81.07 84.43
Positions (direct):
Sm 0.0000 0.0000 0.0000
Sm 0.0503 0.9580 0.5578
Sm 0.5038 0.4490 0.5534
Sm 0.5847 0.6309 0.1235
Tm 0.0454 0.5316 0.3235
Tm 0.4946 0.9060 0.7692
Tm 0.5546 0.0652 0.3329
Tm 0.9468 0.4774 0.7798
Mg 0.4604 0.2906 0.9500
O 0.1594 0.1551 0.7555
O 0.2388 0.2508 0.4312
O 0.2538 0.6954 0.6991
O 0.2673 0.4593 0.1128
O 0.3214 0.7671 0.3696
O 0.3856 0.9709 0.0091
O 0.6485 0.0522 0.5520
O 0.7169 0.3840 0.3157
O 0.7818 0.3218 0.0020
O 0.8019 0.7818 0.8804
O 0.8319 0.8427 0.2232
O 0.8564 0.6026 0.5598

Principal peaks in the range 2θ from 10° to 90°, in order of falling intensity:
2.889 Å, 2θ = 31.0°, intensity 100; 3.058 Å, 2θ = 29.2°, intensity 67; 2.943 Å, 2θ = 30.4°, intensity 60; 3.457 Å, 2θ = 25.8°, intensity 36; 2.714 Å, 2θ = 33.0°, intensity 36; 3.012 Å, 2θ = 29.7°, intensity 34; 2.208 Å, 2θ = 40.9°, intensity 21; 2.006 Å, 2θ = 45.2°, intensity 20; 2.258 Å, 2θ = 39.9°, intensity 18; 1.730 Å, 2θ = 52.9°, intensity 14

---

# 11
Li2Ga8Pd3: computed PXRD pattern (Cu Kα, 1.54184 Å), based on the GGA-PBE geometry in Alexandria.

Structure:
abc: 6.7235 6.7235 5.3088
angles: 96.86 96.86 65.18
Positions (direct):
Li 0.1984 0.1984 0.3049
Li 0.8016 0.8016 0.6951
Ga 0.1817 0.1817 0.8274
Ga 0.1910 0.5684 0.5676
Ga 0.3947 0.3947 0.1008
Ga 0.4316 0.8090 0.4324
Ga 0.5684 0.1910 0.5676
Ga 0.6053 0.6053 0.8992
Ga 0.8090 0.4316 0.4324
Ga 0.8183 0.8183 0.1726
Pd 0.0000 0.0000 0.5000
Pd 0.1968 0.8032 0.0000
Pd 0.8032 0.1968 0.0000

Principal peaks in the range 2θ from 10° to 90°, in order of falling intensity:
2.129 Å, 2θ = 42.5°, intensity 100; 2.725 Å, 2θ = 32.9°, intensity 95; 5.608 Å, 2θ = 15.8°, intensity 73; 2.259 Å, 2θ = 39.9°, intensity 69; 2.200 Å, 2θ = 41.0°, intensity 54; 1.965 Å, 2θ = 46.2°, intensity 52; 2.630 Å, 2θ = 34.1°, intensity 50; 2.143 Å, 2θ = 42.2°, intensity 48; 2.177 Å, 2θ = 41.5°, intensity 44; 1.332 Å, 2θ = 70.7°, intensity 23

---

# 12
Co5Cu3: computed PXRD pattern (Cu Kα, 1.54184 Å), based on the GGA-PBE geometry in Alexandria.

Structure:
abc: 6.7922 6.7922 6.7361
angles: 95.40 95.40 141.25
Positions (direct):
Co 0.0758 0.7537 0.8136
Co 0.2463 0.9242 0.1864
Co 0.2510 0.2510 0.0029
Co 0.2948 0.4829 0.6719
Co 0.4829 0.2948 0.6719
Co 0.5171 0.7052 0.3281
Co 0.7052 0.5171 0.3281
Co 0.7490 0.7490 0.9971
Co 0.7537 0.0758 0.8136
Co 0.9242 0.2463 0.1864
Cu 0.1255 0.1255 0.3585
Cu 0.2360 0.7640 0.5000
Cu 0.3222 0.6778 0.0000
Cu 0.6778 0.3222 0.0000
Cu 0.7640 0.2360 0.5000
Cu 0.8745 0.8745 0.6415

Principal peaks in the range 2θ from 10° to 90°, in order of falling intensity:
1.988 Å, 2θ = 45.6°, intensity 100; 1.950 Å, 2θ = 46.6°, intensity 90; 2.000 Å, 2θ = 45.4°, intensity 84; 2.041 Å, 2θ = 44.4°, intensity 74; 2.028 Å, 2θ = 44.7°, intensity 70; 2.274 Å, 2θ = 39.6°, intensity 67; 2.021 Å, 2θ = 44.9°, intensity 50; 1.841 Å, 2θ = 49.5°, intensity 48; 1.894 Å, 2θ = 48.0°, intensity 46; 1.958 Å, 2θ = 46.4°, intensity 45